# PrMg5Cd7
Computed X-ray diffraction stick pattern, a wavelength of 1.5418 Å. Input: a crystal structure in Alexandria, relaxed with PBE.
Neutral-atom scattering factors, no anomalous dispersion.

Largest 10 diffraction maxima, sorted by position, 2θ = 5–70°:
2theta, d_spacing, I (rel.)
18.0, 4.927, 34.7
29.5, 3.024, 94.2
30.7, 2.911, 81.5
31.0, 2.887, 47.4
34.8, 2.578, 40.1
35.8, 2.506, 93.8
36.0, 2.498, 100.0
36.5, 2.464, 27.7
39.4, 2.289, 45.8
65.2, 1.430, 27.0

abc: 7.632 7.632 7.632
angles: 133.31 98.50 99.57
Sites, in units of the cell vectors:
Pr  0.000  0.000  0.000
Mg  0.003  0.501  0.006
Mg  0.003  0.997  0.502
Mg  0.495  0.501  0.498
Mg  0.495  0.997  0.994
Mg  0.779  0.279  0.500
Cd  0.208  0.496  0.712
Cd  0.213  0.713  0.500
Cd  0.350  0.350  0.000
Cd  0.351  0.002  0.349
Cd  0.653  0.002  0.651
Cd  0.656  0.656  0.000
Cd  0.783  0.496  0.288